For Pr2Cu5Rh5, a structure optimized by DFT (PBE) gives the calculated powder XRD pattern in this record (Cu Kα X-rays).
No peak broadening, texture or thermal motion is included.

Structural model:
Lattice parameters (Å, degrees): 4.1045 5.3710 9.0420 90.00 90.00 90.00
Fractional coordinates of all 12 atoms:
1 Pr 0.0000 0.0000 0.0000
2 Pr 0.0000 0.5000 0.5000
3 Cu 0.0000 0.0000 0.3332
4 Cu 0.0000 0.0000 0.6668
5 Cu 0.0000 0.5000 0.1633
6 Cu 0.0000 0.5000 0.8367
7 Cu 0.5000 0.5000 0.0000
8 Rh 0.5000 0.0000 0.5000
9 Rh 0.5000 0.2517 0.2459
10 Rh 0.5000 0.2517 0.7541
11 Rh 0.5000 0.7483 0.2459
12 Rh 0.5000 0.7483 0.7541

Principal peaks in the range 10° ≤ 2θ ≤ 80°, most intense first:
| two_theta | intensity | hkl |
| --- | --- | --- |
| 40.77 | 100.0 | 1 1 3 |
| 40.13 | 63.3 | 1 2 0 |
| 39.01 | 58.5 | 0 2 2 |
| 44.13 | 49.2 | 2 0 0 |
| 29.11 | 46.6 | 1 1 1 |
| 29.39 | 35.6 | 1 0 2 |
| 60.34 | 32.2 | 2 2 2 |
| 45.05 | 27.3 | 1 2 2 |
| 39.88 | 26.3 | 0 0 4 |
| 64.67 | 24.3 | 1 3 3 |